Starting from the GGA-PBE geometry in the Materials Project, the PXRD pattern of Cs2Hg3S4 was calculated for copper Kα.
Peak positions follow from Bragg's law for the DFT cell and can differ from measured ones.

Main lines, sorted by position (10° ≤ 2θ ≤ 90°):
2θ (°), d/Å, I/Imax
12.06, 7.337, 74
21.15, 4.200, 20
24.26, 3.669, 62
26.31, 3.388, 64
27.32, 3.265, 51
29.03, 3.076, 100
30.23, 2.957, 91
36.09, 2.489, 64
45.76, 1.983, 31
46.57, 1.950, 36
49.71, 1.834, 42
57.07, 1.614, 26

Cell and atoms:
a = 6.461 Å, b = 11.934 Å, c = 14.675 Å
α = 90.00°, β = 90.00°, γ = 90.00°
Space group Ibam (No. 72)
Unique sites:
1 Cs 0.242 0.122 0.000
2 Hg 0.000 0.157 0.250
3 Hg 0.000 0.500 0.250
4 S 0.223 0.368 0.144

Starting from the GGA-PBE geometry in the Materials Project, the PXRD pattern of Mg6CrCd was calculated for copper Kα.
Peak positions follow from Bragg's law for the DFT cell and can differ from measured ones.

Main lines, sorted by position (10° ≤ 2θ ≤ 90°):
2θ (°), d/Å, I/Imax
16.33, 5.428, 49
24.14, 3.687, 31
33.00, 2.715, 26
33.70, 2.660, 18
35.76, 2.511, 26
37.67, 2.388, 100
39.54, 2.279, 11
47.88, 1.900, 10
49.44, 1.843, 16
58.89, 1.568, 11
65.51, 1.425, 18
70.87, 1.330, 18

Cell and atoms:
a = 5.022 Å, b = 6.263 Å, c = 10.870 Å
α = 90.00°, β = 90.00°, γ = 90.00°
Space group Amm2 (No. 38)
Unique sites:
1 Mg 0.000 0.000 0.000
2 Mg 0.000 0.244 0.747
3 Mg 0.500 0.000 0.166
4 Mg 0.500 0.249 0.416
5 Cr 0.500 0.000 0.667
6 Cd 0.000 0.000 0.503

Starting from the GGA-PBE geometry in the Materials Project, the PXRD pattern of Co3Ge6N11 was calculated for copper Kα.
Peak positions follow from Bragg's law for the DFT cell and can differ from measured ones.

Main lines, sorted by position (10° ≤ 2θ ≤ 90°):
2θ (°), d/Å, I/Imax
26.82, 3.324, 21
32.21, 2.779, 100
35.00, 2.564, 49
35.46, 2.532, 39
38.85, 2.318, 33
39.52, 2.280, 21
42.40, 2.132, 28
47.15, 1.927, 15
54.13, 1.694, 16
55.27, 1.662, 18
62.86, 1.478, 20
68.44, 1.371, 17

Cell and atoms:
a = 9.402 Å, b = 9.402 Å, c = 5.063 Å
α = 90.00°, β = 90.00°, γ = 90.00°
Space group P4bm (No. 100)
Unique sites:
1 Co 0.000 0.000 0.000
2 Co 0.187 0.313 0.994
3 Ge 0.033 0.766 0.562
4 Ge 0.126 0.626 0.065
5 N 0.000 0.500 0.210
6 N 0.005 0.226 0.199
7 N 0.096 0.596 0.700
8 N 0.121 0.168 0.753